1.
Theoretical powder XRD pattern
Compound: CaBiF5
Radiation: Cu Kα X-rays
Structure: a DFT-relaxed cell (PBE, the Materials Project)
Intensities are scaled so that the largest is 100.

Peak list (10 most intense, 5 to 70 degrees two-theta, by angle)
2θ (°), d [Å], intensity
15.6, 5.667, 31.6
16.0, 5.539, 56.2
17.6, 5.045, 70.1
22.4, 3.961, 100.0
24.0, 3.705, 82.7
24.1, 3.688, 76.3
33.3, 2.688, 39.4
40.1, 2.248, 34.1
46.2, 1.966, 23.9
47.1, 1.929, 24.3

Structural model:
```
data_CaBiF5
_space_group_name_H-M_alt 'P 1 21/c 1'
_space_group_IT_number 14
_cell_length_a 6.0249
_cell_length_b 11.0781
_cell_length_c 8.3579
_cell_angle_alpha 90.00
_cell_angle_beta 109.84
_cell_angle_gamma 90.00
loop_
_space_group_symop_operation_xyz
'x,y,z'
'-x,-y,-z'
'-x,y+1/2,-z+1/2'
'x,-y+1/2,z+1/2'
loop_
_atom_site_label
_atom_site_fract_x
_atom_site_fract_y
_atom_site_fract_z
Ca1 0.0229 0.0117 0.2515
Bi1 0.3979 0.2466 0.6023
F1 0.1004 0.1075 0.5669
F2 0.1270 0.1034 0.9895
F3 0.2931 0.6286 0.3523
F4 0.3002 0.1786 0.3276
F5 0.3602 0.5892 0.8029
```

=====

2.
Theoretical powder XRD pattern
Compound: PrO3
Radiation: Cu Kα X-rays
Structure: a DFT-relaxed cell (PBE, the Materials Project)
Intensities are scaled so that the largest is 100.

Peak list (10 most intense, 5 to 70 degrees two-theta, by angle)
2θ (°), d [Å], intensity
18.2, 4.876, 82.8
27.3, 3.271, 100.0
31.8, 2.815, 58.6
36.9, 2.438, 15.0
40.9, 2.205, 20.2
42.4, 2.134, 65.5
45.1, 2.009, 15.3
52.7, 1.736, 28.9
53.9, 1.700, 51.5
66.4, 1.408, 16.9

Structural model:
```
data_PrO3
_space_group_name_H-M_alt 'P 63/m'
_space_group_IT_number 176
_space_group_name_Hall '-P 6c'
_cell_length_a 5.6300
_cell_length_b 5.6300
_cell_length_c 4.4109
_cell_angle_alpha 90.00
_cell_angle_beta 90.00
_cell_angle_gamma 120.00
loop_
_atom_site_label
_atom_site_fract_x
_atom_site_fract_y
_atom_site_fract_z
Pr1 0.3333 0.6667 0.2500
O1 0.1444 0.7242 0.7500
```

=====

3.
Theoretical powder XRD pattern
Compound: Pr5Fe2Sb
Radiation: Cu Kα X-rays
Structure: a DFT-relaxed cell (PBE, the Materials Project)
Intensities are scaled so that the largest is 100.

Peak list (10 most intense, 5 to 70 degrees two-theta, by angle)
2θ (°), d [Å], intensity
25.9, 3.447, 38.9
29.9, 2.987, 31.3
31.6, 2.835, 100.0
31.8, 2.810, 22.7
34.0, 2.637, 71.2
35.7, 2.513, 63.7
47.6, 1.910, 17.0
52.2, 1.753, 16.2
55.6, 1.654, 33.5
64.6, 1.443, 18.0

Structural model:
```
data_Pr5Fe2Sb
_space_group_name_H-M_alt 'I 4/m c m'
_space_group_IT_number 140
_space_group_name_Hall '-I 4 2c'
_cell_length_a 7.9477
_cell_length_b 7.9477
_cell_length_c 14.1045
_cell_angle_alpha 90.00
_cell_angle_beta 90.00
_cell_angle_gamma 90.00
loop_
_atom_site_label
_atom_site_fract_x
_atom_site_fract_y
_atom_site_fract_z
Pr1 0.0000 0.0000 0.0000
Pr2 0.1667 0.3333 0.1381
Fe1 0.0997 0.4003 0.5000
Sb1 0.0000 0.0000 0.2500
```

=====

4.
Theoretical powder XRD pattern
Compound: Ti2C3N6
Radiation: Cu Kα X-rays
Structure: a DFT-relaxed cell (PBE, the Materials Project)
Intensities are scaled so that the largest is 100.

Peak list (10 most intense, 5 to 70 degrees two-theta, by angle)
2θ (°), d [Å], intensity
17.7, 4.997, 65.7
27.0, 3.302, 62.0
27.8, 3.214, 75.3
32.8, 2.732, 100.0
33.9, 2.644, 48.1
37.5, 2.397, 54.6
39.4, 2.286, 54.7
45.5, 1.995, 44.5
46.3, 1.961, 38.2
55.6, 1.653, 39.2

Structural model:
```
data_Ti2C3N6
_space_group_name_H-M_alt 'C 1 2/m 1'
_space_group_IT_number 12
_cell_length_a 13.2672
_cell_length_b 3.3138
_cell_length_c 5.0195
_cell_angle_alpha 90.00
_cell_angle_beta 95.44
_cell_angle_gamma 90.00
loop_
_space_group_symop_operation_xyz
'x,y,z'
'-x,-y,-z'
'-x,y,-z'
'x,-y,z'
'x+1/2,y+1/2,z'
'-x+1/2,-y+1/2,-z'
'-x+1/2,y+1/2,-z'
'x+1/2,-y+1/2,z'
loop_
_atom_site_label
_atom_site_fract_x
_atom_site_fract_y
_atom_site_fract_z
Ti1 0.1265 0.0000 0.0661
C1 0.0000 0.0000 0.5000
C2 0.1706 0.5000 0.5937
N1 0.0154 0.0000 0.7460
N2 0.1551 0.5000 0.3509
N3 0.1901 0.5000 0.8418
```

=====

5.
Theoretical powder XRD pattern
Compound: CaTm2S4
Radiation: Cu Kα X-rays
Structure: a DFT-relaxed cell (PBE, the Materials Project)
Intensities are scaled so that the largest is 100.

Peak list (10 most intense, 5 to 70 degrees two-theta, by angle)
2θ (°), d [Å], intensity
13.4, 6.593, 53.5
15.4, 5.740, 29.0
24.1, 3.691, 37.6
24.6, 3.619, 100.0
31.3, 2.856, 39.4
32.1, 2.791, 33.8
34.2, 2.620, 49.1
42.1, 2.146, 29.9
47.5, 1.914, 58.9
53.9, 1.701, 23.9

Structural model:
```
data_CaTm2S4
_space_group_name_H-M_alt 'C m c 21'
_space_group_IT_number 36
_cell_length_a 3.8557
_cell_length_b 12.7512
_cell_length_c 13.1854
_cell_angle_alpha 90.00
_cell_angle_beta 90.00
_cell_angle_gamma 90.00
loop_
_space_group_symop_operation_xyz
'x,y,z'
'-x,-y,z+1/2'
'-x,y,z'
'x,-y,z+1/2'
'x+1/2,y+1/2,z'
'-x+1/2,-y+1/2,z+1/2'
'-x+1/2,y+1/2,z'
'x+1/2,-y+1/2,z+1/2'
loop_
_atom_site_label
_atom_site_fract_x
_atom_site_fract_y
_atom_site_fract_z
Ca1 0.0000 0.1138 0.0000
Tm1 0.0000 0.3578 0.1908
Tm2 0.0000 0.3741 0.8341
S1 0.0000 0.0140 0.7753
S2 0.0000 0.2636 0.3777
S3 0.0000 0.2799 0.6450
S4 0.0000 0.4590 0.0167
```

=====

6.
Theoretical powder XRD pattern
Compound: Fe3SiNi
Radiation: Cu Kα X-rays
Structure: a DFT-relaxed cell (PBE, the Materials Project)
Intensities are scaled so that the largest is 100.

Peak list (10 most intense, 5 to 70 degrees two-theta, by angle)
2θ (°), d [Å], intensity
25.2, 3.528, 3.5
29.2, 3.055, 2.5
32.8, 2.732, 12.2
36.0, 2.494, 3.2
44.5, 2.037, 100.0
47.0, 1.932, 59.0
49.5, 1.842, 21.9
56.3, 1.633, 7.1
64.7, 1.440, 6.4
68.7, 1.366, 6.4

Structural model:
```
data_Fe3SiNi
_space_group_name_H-M_alt 'P 21 3'
_space_group_IT_number 198
_space_group_name_Hall 'P 2ac 2ab 3'
_cell_length_a 6.1100
_cell_length_b 6.1100
_cell_length_c 6.1100
_cell_angle_alpha 90.00
_cell_angle_beta 90.00
_cell_angle_gamma 90.00
loop_
_atom_site_label
_atom_site_fract_x
_atom_site_fract_y
_atom_site_fract_z
Fe1 0.0463 0.1223 0.7935
Si1 0.0648 0.9352 0.4352
Ni1 0.1850 0.1850 0.1850
```

=====

7.
Theoretical powder XRD pattern
Compound: Sc2Te3
Radiation: Cu Kα X-rays
Structure: a DFT-relaxed cell (PBE, the Materials Project)
Intensities are scaled so that the largest is 100.

Peak list (10 most intense, 5 to 70 degrees two-theta, by angle)
2θ (°), d [Å], intensity
26.3, 3.390, 71.6
30.5, 2.936, 100.0
43.5, 2.081, 12.3
43.6, 2.076, 48.7
43.7, 2.070, 12.1
51.6, 1.772, 23.1
51.7, 1.767, 11.5
54.0, 1.698, 12.8
54.2, 1.692, 12.6
63.4, 1.468, 11.6

Structural model:
```
data_Sc2Te3
_space_group_name_H-M_alt 'F d d d'
_space_group_IT_number 70
_cell_length_a 8.3227
_cell_length_b 11.7494
_cell_length_c 24.8349
_cell_angle_alpha 90.00
_cell_angle_beta 90.00
_cell_angle_gamma 90.00
loop_
_space_group_symop_operation_xyz
'x,y,z'
'-x,-y,-z'
'-x+1/4,-y+1/4,z'
'x+1/4,y+1/4,-z'
'x,-y+1/4,-z+1/4'
'-x,y+1/4,z+1/4'
'-x+1/4,y,-z+1/4'
'x+1/4,-y,z+1/4'
'x,y+1/2,z+1/2'
'-x,-y+1/2,-z+1/2'
'-x+1/4,-y+3/4,z+1/2'
'x+1/4,y+3/4,-z+1/2'
'x,-y+3/4,-z+3/4'
'-x,y+3/4,z+3/4'
'-x+1/4,y+1/2,-z+3/4'
'x+1/4,-y+1/2,z+3/4'
'x+1/2,y,z+1/2'
'-x+1/2,-y,-z+1/2'
'-x+3/4,-y+1/4,z+1/2'
'x+3/4,y+1/4,-z+1/2'
'x+1/2,-y+1/4,-z+3/4'
'-x+1/2,y+1/4,z+3/4'
'-x+3/4,y,-z+3/4'
'x+3/4,-y,z+3/4'
'x+1/2,y+1/2,z'
'-x+1/2,-y+1/2,-z'
'-x+3/4,-y+3/4,z'
'x+3/4,y+3/4,-z'
'x+1/2,-y+3/4,-z+1/4'
'-x+1/2,y+3/4,z+1/4'
'-x+3/4,y+1/2,-z+1/4'
'x+3/4,-y+1/2,z+1/4'
loop_
_atom_site_label
_atom_site_fract_x
_atom_site_fract_y
_atom_site_fract_z
Sc1 0.1250 0.1250 0.0430
Sc2 0.1250 0.1250 0.3746
Te1 0.1226 0.3750 0.8750
Te2 0.1242 0.3746 0.2080
```